No. 1
Starting from DFT lattice parameters and positions (PBE), the PXRD pattern of TbPr2Er4 was simulated for λ = 1.5418 Å (Cu Kα).
Kinematic intensities with the Lorentz-polarization factor, no thermal factor.

Top 10 peaks for 15 to 90 degrees two-theta, sorted by position:
2θ 22.29, rel. 10, hkl 2 1 1; 2θ 28.89, rel. 100, hkl 3 0 1; 2θ 34.34, rel. 88, hkl 3 1 2; 2θ 41.32, rel. 13, hkl 2 0 4; 2θ 43.44, rel. 9, hkl 3 3 2; 2θ 45.47, rel. 22, hkl 4 2 2; 2θ 47.42, rel. 10, hkl 4 1 3; 2θ 58.13, rel. 10, hkl 1 1 6; 2θ 58.24, rel. 20, hkl 6 1 1; 2θ 61.50, rel. 18, hkl 5 1 4

Cell and atoms:
```
data_TbPr2Er4
_chemical_formula_sum 'Tb4 Pr8 Er16'
_cell_length_a 9.764
_cell_length_b 9.764
_cell_length_c 9.787
_cell_angle_alpha 90.00
_cell_angle_beta 90.00
_cell_angle_gamma 90.00
_space_group_name_H-M_alt 'I -4 2 d'
_space_group_IT_number 122
_space_group_name_Hall 'I -4 2bw'
loop_
_atom_site_label
_atom_site_fract_x
_atom_site_fract_y
_atom_site_fract_z
_atom_site_occupancy
Tb1 0.000 0.000 0.000 1
Pr1 0.127 0.250 0.625 1
Er1 0.081 0.168 0.293 1
```

No. 2
Starting from DFT lattice parameters and positions (PBE), the PXRD pattern of La6TbHo2 was simulated for λ = 1.5418 Å (Cu Kα).
Kinematic intensities with the Lorentz-polarization factor, no thermal factor.

Top 10 peaks for 15 to 90 degrees two-theta, sorted by position:
2θ 28.63, rel. 35, hkl 3 1 0; 2θ 29.93, rel. 100, hkl 0 6 0; 2θ 32.26, rel. 31, hkl 2 2 1; 2θ 36.76, rel. 18, hkl 2 4 1; 2θ 37.92, rel. 19, hkl 3 5 0; 2θ 51.44, rel. 10, hkl 2 8 1; 2θ 53.14, rel. 12, hkl 1 9 1; 2θ 56.60, rel. 15, hkl 5 3 1; 2θ 57.98, rel. 10, hkl 3 1 2; 2θ 58.73, rel. 11, hkl 0 6 2

Cell and atoms:
```
data_La6TbHo2
_chemical_formula_sum 'La12 Tb2 Ho4'
_cell_length_a 9.500
_cell_length_b 17.911
_cell_length_c 3.699
_cell_angle_alpha 90.00
_cell_angle_beta 90.00
_cell_angle_gamma 90.00
_space_group_name_H-M_alt 'C m m m'
_space_group_IT_number 65
_space_group_name_Hall '-C 2 2'
loop_
_atom_site_label
_atom_site_fract_x
_atom_site_fract_y
_atom_site_fract_z
_atom_site_occupancy
La1 0.172 0.166 0.000 1
La2 0.178 0.000 0.500 1
Tb1 0.000 0.500 0.000 1
Ho1 0.000 0.327 0.500 1
```

No. 3
Starting from DFT lattice parameters and positions (PBE), the PXRD pattern of Li3B4C4 was simulated for λ = 1.5418 Å (Cu Kα).
Kinematic intensities with the Lorentz-polarization factor, no thermal factor.

Top 10 peaks for 15 to 90 degrees two-theta, sorted by position:
2θ 24.62, rel. 100, hkl 2 0 -2; 2θ 38.10, rel. 9, hkl 2 0 2; 2θ 45.85, rel. 27, hkl 1 1 -3; 2θ 45.93, rel. 25, hkl 4 0 0; 2θ 50.47, rel. 17, hkl 4 0 -4; 2θ 68.85, rel. 17, hkl 0 2 0; 2θ 74.30, rel. 6, hkl 1 1 5; 2θ 74.41, rel. 3, hkl 5 1 1; 2θ 86.67, rel. 3, hkl 2 0 6; 2θ 86.80, rel. 3, hkl 4 2 0

Cell and atoms:
```
data_Li3B4C4
_chemical_formula_sum 'Li6 B8 C8'
_cell_length_a 8.627
_cell_length_b 2.727
_cell_length_c 8.651
_cell_angle_alpha 90.00
_cell_angle_beta 113.69
_cell_angle_gamma 90.00
_space_group_name_H-M_alt 'P 1 21/m 1'
_space_group_IT_number 11
loop_
_space_group_symop_operation_xyz
'x,y,z'
'-x,-y,-z'
'-x,y+1/2,-z'
'x,-y+1/2,z'
loop_
_atom_site_label
_atom_site_fract_x
_atom_site_fract_y
_atom_site_fract_z
_atom_site_occupancy
Li1 0.123 0.250 0.125 1
Li2 0.142 0.750 0.645 1
Li3 0.372 0.750 0.376 1
B1 0.082 0.250 0.837 1
B2 0.165 0.250 0.420 1
B3 0.327 0.750 0.087 1
B4 0.422 0.750 0.667 1
C1 0.081 0.750 0.336 1
C2 0.159 0.750 0.923 1
C3 0.336 0.250 0.583 1
C4 0.405 0.250 0.175 1
```

No. 4
Starting from DFT lattice parameters and positions (PBE), the PXRD pattern of AcCdAs2Au4 was simulated for λ = 1.5418 Å (Cu Kα).
Kinematic intensities with the Lorentz-polarization factor, no thermal factor.

Top 10 peaks for 15 to 90 degrees two-theta, sorted by position:
2θ 28.33, rel. 39, hkl 1 1 1; 2θ 29.52, rel. 31, hkl 1 0 2; 2θ 34.89, rel. 100, hkl 1 1 2; 2θ 36.83, rel. 83, hkl 2 0 0; 2θ 43.91, rel. 41, hkl 1 1 3; 2θ 47.89, rel. 17, hkl 2 1 2; 2θ 53.08, rel. 29, hkl 2 2 0; 2θ 65.10, rel. 38, hkl 3 1 2; 2θ 66.37, rel. 18, hkl 1 1 5; 2θ 89.90, rel. 32, hkl 4 2 0

Cell and atoms:
```
data_AcCdAs2Au4
_chemical_formula_sum 'Ac1 Cd1 As2 Au4'
_cell_length_a 4.880
_cell_length_b 4.880
_cell_length_c 7.715
_cell_angle_alpha 90.00
_cell_angle_beta 90.00
_cell_angle_gamma 90.00
_space_group_name_H-M_alt 'P 4/m m m'
_space_group_IT_number 123
_space_group_name_Hall '-P 4 2'
loop_
_atom_site_label
_atom_site_fract_x
_atom_site_fract_y
_atom_site_fract_z
_atom_site_occupancy
Ac1 0.000 0.000 0.000 1
Cd1 0.000 0.000 0.500 1
As1 0.500 0.500 0.169 1
Au1 0.000 0.500 0.304 1
```

No. 5
Starting from DFT lattice parameters and positions (PBE), the PXRD pattern of Pu2HgBi4 was simulated for λ = 1.5418 Å (Cu Kα).
Kinematic intensities with the Lorentz-polarization factor, no thermal factor.

Top 10 peaks for 15 to 90 degrees two-theta, sorted by position:
2θ 26.23, rel. 8, hkl 1 0 2; 2θ 26.63, rel. 8, hkl 0 0 3; 2θ 28.78, rel. 10, hkl 1 1 1; 2θ 32.74, rel. 100, hkl 1 1 2; 2θ 35.76, rel. 13, hkl 0 0 4; 2θ 39.06, rel. 36, hkl 2 0 0; 2θ 53.99, rel. 17, hkl 2 0 4; 2θ 56.43, rel. 13, hkl 2 2 0; 2θ 66.79, rel. 27, hkl 3 1 2; 2θ 68.63, rel. 8, hkl 2 2 4

Cell and atoms:
```
data_Pu2HgBi4
_chemical_formula_sum 'Pu2 Hg1 Bi4'
_cell_length_a 4.612
_cell_length_b 4.612
_cell_length_c 10.044
_cell_angle_alpha 90.00
_cell_angle_beta 90.00
_cell_angle_gamma 90.00
_space_group_name_H-M_alt 'P -4 m 2'
_space_group_IT_number 115
loop_
_space_group_symop_operation_xyz
'x,y,z'
'y,-x,-z'
'-x,-y,z'
'-y,x,-z'
'-x,y,z'
'-y,-x,-z'
'x,-y,z'
'y,x,-z'
loop_
_atom_site_label
_atom_site_fract_x
_atom_site_fract_y
_atom_site_fract_z
_atom_site_occupancy
Pu1 0.000 0.500 0.245 1
Hg1 0.500 0.500 0.000 1
Bi1 0.000 0.000 0.500 1
Bi2 0.000 0.500 0.805 1
Bi3 0.500 0.500 0.500 1
```

No. 6
Starting from DFT lattice parameters and positions (PBE), the PXRD pattern of TiNb2ZnPb4O12 was simulated for λ = 1.5418 Å (Cu Kα).
Kinematic intensities with the Lorentz-polarization factor, no thermal factor.

Top 10 peaks for 15 to 90 degrees two-theta, sorted by position:
2θ 18.76, rel. 34, hkl 0 0 1; 2θ 28.96, rel. 100, hkl 0 4 1; 2θ 29.68, rel. 52, hkl 1 0 -1; 2θ 29.87, rel. 53, hkl 1 0 1; 2θ 31.87, rel. 76, hkl 1 4 0; 2θ 37.32, rel. 17, hkl 1 4 1; 2θ 38.05, rel. 26, hkl 0 0 2; 2θ 46.80, rel. 21, hkl 2 0 0; 2θ 50.33, rel. 21, hkl 1 4 -2; 2θ 50.58, rel. 23, hkl 1 4 2

Cell and atoms:
```
data_TiNb2ZnPb4O12
_chemical_formula_sum 'Ti1 Nb2 Zn1 Pb4 O12'
_cell_length_a 3.882
_cell_length_b 16.261
_cell_length_c 4.730
_cell_angle_alpha 90.00
_cell_angle_beta 90.37
_cell_angle_gamma 90.00
_space_group_name_H-M_alt 'P 1 m 1'
_space_group_IT_number 6
loop_
_space_group_symop_operation_xyz
'x,y,z'
'x,-y,z'
loop_
_atom_site_label
_atom_site_fract_x
_atom_site_fract_y
_atom_site_fract_z
_atom_site_occupancy
Ti1 0.000 0.000 0.000 1
Nb1 0.997 0.245 0.017 1
Zn1 0.985 0.500 0.051 1
Pb1 0.450 0.398 0.583 1
Pb2 0.496 0.117 0.563 1
O1 0.000 0.238 0.402 1
O2 0.002 0.000 0.370 1
O3 0.002 0.118 0.887 1
O4 0.007 0.359 0.935 1
O5 0.019 0.500 0.464 1
O6 0.491 0.500 0.920 1
O7 0.499 0.233 0.914 1
O8 0.501 0.000 0.892 1
```

No. 7
Starting from DFT lattice parameters and positions (PBE), the PXRD pattern of ErFeGe2Os was simulated for λ = 1.5418 Å (Cu Kα).
Kinematic intensities with the Lorentz-polarization factor, no thermal factor.

Top 10 peaks for 15 to 90 degrees two-theta, sorted by position:
2θ 23.55, rel. 32, hkl 1 0 1; 2θ 34.16, rel. 57, hkl 1 0 3; 2θ 35.79, rel. 100, hkl 1 1 2; 2θ 44.64, rel. 49, hkl 2 0 0; 2θ 49.53, rel. 22, hkl 1 0 5; 2θ 57.38, rel. 26, hkl 2 1 3; 2θ 62.98, rel. 17, hkl 1 1 6; 2θ 64.98, rel. 16, hkl 2 2 0; 2θ 68.87, rel. 16, hkl 2 1 5; 2θ 76.46, rel. 22, hkl 3 1 2

Cell and atoms:
```
data_ErFeGe2Os
_chemical_formula_sum 'Er2 Fe2 Ge4 Os2'
_cell_length_a 4.060
_cell_length_b 4.060
_cell_length_c 10.324
_cell_angle_alpha 90.00
_cell_angle_beta 90.00
_cell_angle_gamma 90.00
_space_group_name_H-M_alt 'I -4 m 2'
_space_group_IT_number 119
_space_group_name_Hall 'I -4 -2'
loop_
_atom_site_label
_atom_site_fract_x
_atom_site_fract_y
_atom_site_fract_z
_atom_site_occupancy
Er1 0.000 0.000 0.000 1
Fe1 0.000 0.500 0.250 1
Ge1 0.000 0.000 0.378 1
Os1 0.000 0.500 0.750 1
```

No. 8
Starting from DFT lattice parameters and positions (PBE), the PXRD pattern of Sr2CaGa was simulated for λ = 1.5418 Å (Cu Kα).
Kinematic intensities with the Lorentz-polarization factor, no thermal factor.

Top 10 peaks for 15 to 90 degrees two-theta, sorted by position:
2θ 27.29, rel. 100, hkl 3 2 1; 2θ 27.73, rel. 91, hkl 1 1 2; 2θ 28.23, rel. 30, hkl 3 3 0; 2θ 29.79, rel. 71, hkl 2 4 0; 2θ 30.42, rel. 87, hkl 4 1 1; 2θ 32.27, rel. 23, hkl 2 2 2; 2θ 33.66, rel. 73, hkl 1 3 2; 2θ 34.08, rel. 32, hkl 5 1 0; 2θ 35.96, rel. 45, hkl 4 3 1; 2θ 46.73, rel. 28, hkl 3 2 3

Cell and atoms:
```
data_Sr2CaGa
_chemical_formula_sum 'Sr16 Ca8 Ga8'
_cell_length_a 13.414
_cell_length_b 13.414
_cell_length_c 6.840
_cell_angle_alpha 90.00
_cell_angle_beta 90.00
_cell_angle_gamma 90.00
_space_group_name_H-M_alt 'I -4'
_space_group_IT_number 82
loop_
_space_group_symop_operation_xyz
'x,y,z'
'y,-x,-z'
'-x,-y,z'
'-y,x,-z'
'x+1/2,y+1/2,z+1/2'
'y+1/2,-x+1/2,-z+1/2'
'-x+1/2,-y+1/2,z+1/2'
'-y+1/2,x+1/2,-z+1/2'
loop_
_atom_site_label
_atom_site_fract_x
_atom_site_fract_y
_atom_site_fract_z
_atom_site_occupancy
Sr1 0.033 0.364 0.484 1
Sr2 0.084 0.879 0.244 1
Ca1 0.169 0.780 0.769 1
Ga1 0.056 0.292 0.983 1
```